Record 1
Structure and theoretical powder diffraction line list of PaCoPbO5 (a PBE+U-relaxed structure; λ = 1.5418 Å (Cu Kα)).
Peak positions follow from Bragg's law for the DFT cell and can differ from measured ones.

Most intense lines, 2θ from 10° to 80°, in order of rising 2θ:
2θ (°), d/Å, intensity
24.2, 3.674, 100
27.1, 3.291, 69
30.3, 2.954, 55
30.4, 2.937, 88
33.5, 2.679, 30
33.7, 2.657, 29

Crystal structure
Cell: 6.091 6.091 8.045 Å, 103.51 103.51 107.88°
Atoms (fractional coordinates):
Pa: 0.000 0.000 0.000
Pa: 0.000 0.000 0.500
Co: 0.319 0.681 0.750
Co: 0.681 0.319 0.250
Pb: 0.336 0.664 0.250
Pb: 0.664 0.336 0.750
O: 0.082 0.918 0.250
O: 0.103 0.697 0.881
O: 0.263 0.375 0.591
O: 0.303 0.897 0.619
O: 0.375 0.263 0.091
O: 0.625 0.737 0.909
O: 0.697 0.103 0.381
O: 0.737 0.625 0.409
O: 0.897 0.303 0.119
O: 0.918 0.082 0.750

Record 2
Structure and theoretical powder diffraction line list of RbPa4Co3O12 (a PBE+U-relaxed structure; λ = 1.5418 Å (Cu Kα)).
Peak positions follow from Bragg's law for the DFT cell and can differ from measured ones.

Most intense lines, 2θ from 10° to 80°, in order of rising 2θ:
2θ (°), d/Å, intensity
21.4, 4.148, 40
30.5, 2.933, 100
43.6, 2.074, 23
49.1, 1.855, 20
54.2, 1.693, 47
72.0, 1.312, 19

Crystal structure
Cell: 7.184 7.184 7.184 Å, 109.47 109.47 109.47°
Atoms (fractional coordinates):
Rb: 0.000 0.000 0.000
Pa: 0.000 0.000 0.500
Pa: 0.000 0.500 0.000
Pa: 0.500 0.000 0.000
Pa: 0.500 0.500 0.500
Co: 0.000 0.500 0.500
Co: 0.500 0.000 0.500
Co: 0.500 0.500 0.000
O: 0.128 0.821 0.307
O: 0.179 0.307 0.486
O: 0.179 0.693 0.872
O: 0.307 0.128 0.821
O: 0.307 0.486 0.179
O: 0.486 0.179 0.307
O: 0.514 0.821 0.693
O: 0.693 0.514 0.821
O: 0.693 0.872 0.179
O: 0.821 0.307 0.128
O: 0.821 0.693 0.514
O: 0.872 0.179 0.693

Record 3
Structure and theoretical powder diffraction line list of PaCoSb2O8 (a PBE+U-relaxed structure; λ = 1.5418 Å (Cu Kα)).
Peak positions follow from Bragg's law for the DFT cell and can differ from measured ones.

Most intense lines, 2θ from 10° to 80°, in order of rising 2θ:
2θ (°), d/Å, intensity
25.0, 3.563, 67
25.7, 3.472, 61
32.9, 2.721, 100
49.3, 1.849, 48
50.0, 1.823, 40
62.9, 1.477, 35

Crystal structure
Cell: 4.975 4.975 6.500 Å, 90.00 90.00 91.48°
Atoms (fractional coordinates):
Pa: 0.000 0.000 0.000
Co: 0.000 0.000 0.500
Sb: 0.500 0.500 0.261
Sb: 0.500 0.500 0.739
O: 0.202 0.202 0.250
O: 0.202 0.202 0.750
O: 0.310 0.690 0.500
O: 0.320 0.680 0.000
O: 0.680 0.320 0.000
O: 0.690 0.310 0.500
O: 0.798 0.798 0.250
O: 0.798 0.798 0.750